Calculated PXRD pattern
Compound: Rb2BiAuCl6
Radiation: λ = 1.5418 Å (Cu Kα)
Structure: a cell relaxed with GGA-PBE
Kinematic intensities with the Lorentz-polarization factor, no thermal factor.

Structural model:
Unit cell a=7.684 b=7.684 c=7.684 alpha=60.00 beta=60.00 gamma=60.00
Sites, in units of the cell vectors:
Rb 0.250 0.250 0.250
Rb 0.750 0.750 0.750
Bi 0.000 0.000 0.000
Au 0.500 0.500 0.500
Cl 0.251 0.251 0.749
Cl 0.251 0.749 0.251
Cl 0.251 0.749 0.749
Cl 0.749 0.251 0.251
Cl 0.749 0.251 0.749
Cl 0.749 0.749 0.251

Top 10 peaks for 10 to 80 degrees two-theta, sorted by position:
- 16.3°, I = 41
- 23.2°, I = 100
- 33.0°, I = 52
- 37.0°, I = 22
- 40.7°, I = 48
- 47.3°, I = 36
- 53.3°, I = 22
- 64.1°, I = 26
- 74.0°, I = 13
- 78.8°, I = 16

***

Calculated PXRD pattern
Compound: Na2MgTiO3
Radiation: λ = 1.5418 Å (Cu Kα)
Structure: a cell relaxed with GGA-PBE
Kinematic intensities with the Lorentz-polarization factor, no thermal factor.

Structural model:
Unit cell a=6.668 b=6.668 c=6.668 alpha=153.33 beta=57.16 gamma=130.44
Sites, in units of the cell vectors:
Na 0.250 0.000 0.250
Na 0.750 0.000 0.750
Mg 0.647 0.647 0.000
Ti 0.205 0.705 0.500
O 0.232 0.338 0.894
O 0.444 0.338 0.106
O 0.867 0.367 0.500

Top 10 peaks for 10 to 80 degrees two-theta, sorted by position:
- 15.1°, I = 62
- 17.6°, I = 42
- 30.5°, I = 46
- 35.6°, I = 55
- 36.7°, I = 100
- 45.8°, I = 31
- 57.9°, I = 25
- 58.4°, I = 24
- 60.2°, I = 16
- 66.8°, I = 13

***

Calculated PXRD pattern
Compound: CaH12W6Cl2
Radiation: λ = 1.5418 Å (Cu Kα)
Structure: a cell relaxed with GGA-PBE
Kinematic intensities with the Lorentz-polarization factor, no thermal factor.

Structural model:
Unit cell a=11.137 b=11.137 c=2.574 alpha=90.00 beta=90.00 gamma=120.00
Sites, in units of the cell vectors:
Ca 0.000 0.000 0.000
H 0.042 0.595 0.021
H 0.143 0.786 0.500
H 0.214 0.356 0.500
H 0.356 0.214 0.500
H 0.405 0.448 0.021
H 0.448 0.405 0.979
H 0.552 0.958 0.021
H 0.595 0.042 0.979
H 0.644 0.857 0.500
H 0.786 0.143 0.500
H 0.857 0.644 0.500
H 0.958 0.552 0.979
W 0.000 0.234 0.500
W 0.000 0.743 0.000
W 0.234 0.000 0.500
W 0.257 0.257 0.000
W 0.743 0.000 0.000
W 0.766 0.766 0.500
Cl 0.333 0.667 0.366
Cl 0.667 0.333 0.634

Top 10 peaks for 10 to 80 degrees two-theta, sorted by position:
- 15.9°, I = 23
- 18.4°, I = 37
- 24.4°, I = 45
- 27.7°, I = 20
- 37.3°, I = 60
- 38.5°, I = 49
- 43.0°, I = 100
- 54.7°, I = 33
- 64.9°, I = 19
- 74.3°, I = 19

***

Calculated PXRD pattern
Compound: Ba4Pr2Cu6O15
Radiation: λ = 1.5418 Å (Cu Kα)
Structure: a cell relaxed with GGA-PBE
Kinematic intensities with the Lorentz-polarization factor, no thermal factor.

Structural model:
Unit cell a=12.348 b=12.337 c=5.627 alpha=76.92 beta=76.72 gamma=26.35
Sites, in units of the cell vectors:
Ba 0.154 0.670 0.846
Ba 0.330 0.846 0.670
Ba 0.670 0.154 0.330
Ba 0.846 0.330 0.154
Pr 0.000 0.500 0.000
Pr 0.500 0.000 0.500
Cu 0.079 0.576 0.424
Cu 0.240 0.760 0.240
Cu 0.424 0.921 0.079
Cu 0.576 0.079 0.921
Cu 0.760 0.240 0.760
Cu 0.921 0.424 0.576
O 0.000 0.000 0.000
O 0.000 0.000 0.500
O 0.183 0.183 0.817
O 0.185 0.185 0.315
O 0.185 0.652 0.348
O 0.315 0.315 0.185
O 0.315 0.315 0.685
O 0.348 0.815 0.185
O 0.500 0.500 0.000
O 0.652 0.185 0.815
O 0.685 0.685 0.315
O 0.685 0.685 0.815
O 0.815 0.348 0.652
O 0.815 0.815 0.685
O 0.817 0.817 0.183

Top 10 peaks for 10 to 80 degrees two-theta, sorted by position:
- 31.8°, I = 92
- 32.1°, I = 100
- 32.2°, I = 93
- 39.5°, I = 30
- 45.4°, I = 29
- 45.8°, I = 28
- 46.6°, I = 22
- 56.8°, I = 37
- 57.0°, I = 37
- 57.6°, I = 36

***

Calculated PXRD pattern
Compound: MgV2S4N6Cl4
Radiation: λ = 1.5418 Å (Cu Kα)
Structure: a cell relaxed with GGA-PBE
Kinematic intensities with the Lorentz-polarization factor, no thermal factor.

Structural model:
Unit cell a=5.741 b=7.112 c=8.569 alpha=89.89 beta=78.05 gamma=84.49
Sites, in units of the cell vectors:
Mg 0.000 0.000 0.000
V 0.055 0.554 0.004
V 0.495 0.293 0.032
S 0.064 0.771 0.683
S 0.114 0.272 0.346
S 0.487 0.524 0.702
S 0.570 0.041 0.318
N 0.210 0.327 0.163
N 0.312 0.129 0.405
N 0.325 0.665 0.614
N 0.372 0.485 0.883
N 0.664 0.109 0.143
N 0.975 0.733 0.868
Cl 0.118 0.780 0.193
Cl 0.418 0.038 0.867
Cl 0.667 0.530 0.175
Cl 0.915 0.297 0.845

Top 10 peaks for 10 to 80 degrees two-theta, sorted by position:
- 10.6°, I = 100
- 16.5°, I = 20
- 20.4°, I = 16
- 24.5°, I = 18
- 29.4°, I = 25
- 31.0°, I = 16
- 32.0°, I = 13
- 34.0°, I = 27
- 35.7°, I = 24
- 35.9°, I = 16

***

Calculated PXRD pattern
Compound: Zr3PO2
Radiation: λ = 1.5418 Å (Cu Kα)
Structure: a cell relaxed with GGA-PBE
Kinematic intensities with the Lorentz-polarization factor, no thermal factor.

Structural model:
Unit cell a=3.432 b=3.432 c=8.480 alpha=90.00 beta=90.00 gamma=120.00
Sites, in units of the cell vectors:
Zr 0.000 0.000 0.000
Zr 0.333 0.667 0.698
Zr 0.667 0.333 0.302
P 0.000 0.000 0.500
O 0.333 0.667 0.141
O 0.667 0.333 0.859

Top 10 peaks for 10 to 80 degrees two-theta, sorted by position:
- 31.7°, I = 16
- 31.9°, I = 63
- 36.9°, I = 100
- 44.2°, I = 11
- 53.1°, I = 24
- 53.4°, I = 34
- 63.1°, I = 9
- 63.4°, I = 13
- 63.6°, I = 9
- 66.7°, I = 16